The following is a theoretical powder diffraction line list of KMgC2O6. It was derived from a GGA-PBE-relaxed structure, using Cu Kα.
Neutral-atom scattering factors, no anomalous dispersion.

Main lines, low angle first (15 to 90 degrees two-theta):
28.64°, intensity 1000; 32.53°, intensity 137; 35.22°, intensity 124; 41.22°, intensity 180; 42.21°, intensity 126; 46.08°, intensity 145; 47.24°, intensity 153; 56.11°, intensity 70; 59.25°, intensity 144; 68.13°, intensity 69

Crystal structure
```
KMgC2O6
1.0
2.548 1.471 5.869
-2.548 1.471 5.869
0.000 -2.943 5.869
K Mg C O
1 1 2 6
Direct
0.000 0.000 0.000
0.500 0.500 0.500
0.236 0.236 0.236
0.764 0.764 0.764
0.053 0.616 0.616
0.384 0.384 0.947
0.384 0.947 0.384
0.616 0.053 0.616
0.616 0.616 0.053
0.947 0.384 0.384
```